Starting from DFT lattice parameters and positions (GGA-PBE), the PXRD pattern of La2O3 was computed for a wavelength of 1.5418 Å.

Atomic structure:
```
data_La2O3
_chemical_formula_sum 'La2 O3'
_symmetry_space_group_name_H-M 'P -6 2 m'
_symmetry_Int_Tables_number 189
_symmetry_space_group_name_Hall 'P -6 -2'
_cell_length_a 6.2668
_cell_length_b 6.2668
_cell_length_c 3.2998
_cell_angle_alpha 90.00
_cell_angle_beta 90.00
_cell_angle_gamma 120.00
loop_
_atom_site_label
_atom_site_fract_x
_atom_site_fract_y
_atom_site_fract_z
_atom_site_occupancy
La1 0.3333 0.6667 0.0000 1
O1 0.0000 0.5080 0.5000 1
```

Principal peaks in the range 2θ = 10–80°, by angle:
- 2θ = 16.33°, 5.427 Å, intensity 100.0, hkl 1 0 0
- 2θ = 27.02°, 3.300 Å, intensity 20.1, hkl 0 0 1
- 2θ = 28.49°, 3.133 Å, intensity 71.0, hkl 1 1 0
- 2θ = 31.74°, 2.820 Å, intensity 23.4, hkl 1 0 1
- 2θ = 39.67°, 2.272 Å, intensity 74.6, hkl 1 1 1
- 2θ = 43.16°, 2.096 Å, intensity 23.5, hkl 2 0 1
- 2θ = 44.15°, 2.051 Å, intensity 15.2, hkl 2 1 0
- 2θ = 50.45°, 1.809 Å, intensity 14.9, hkl 3 0 0
- 2θ = 58.15°, 1.586 Å, intensity 23.7, hkl 3 0 1
- 2θ = 63.75°, 1.460 Å, intensity 14.8, hkl 1 1 2

=====

Starting from DFT lattice parameters and positions (GGA-PBE), the PXRD pattern of LaO3 was computed for a wavelength of 1.5418 Å.

Atomic structure:
```
data_LaO3
_chemical_formula_sum 'La2 O6'
_symmetry_space_group_name_H-M 'P 1'
_symmetry_Int_Tables_number 1
_cell_length_a 4.6613
_cell_length_b 4.8800
_cell_length_c 7.5972
_cell_angle_alpha 107.76
_cell_angle_beta 91.51
_cell_angle_gamma 116.69
loop_
_symmetry_equiv_pos_as_xyz
'x,y,z'
loop_
_atom_site_label
_atom_site_fract_x
_atom_site_fract_y
_atom_site_fract_z
_atom_site_occupancy
La1 0.0000 0.0000 0.0000 1
La2 0.2774 0.5620 0.5278 1
O1 0.0255 0.0474 0.3066 1
O2 0.2338 0.5139 0.2207 1
O3 0.3943 0.7827 0.9176 1
O4 0.5333 0.0810 0.8731 1
O5 0.7442 0.4797 0.6539 1
O6 0.8831 0.7783 0.6098 1
```

Principal peaks in the range 2θ = 10–80°, by angle:
- 2θ = 20.93°, 4.245 Å, intensity 100.0, hkl 0 1 -1
- 2θ = 21.75°, 4.085 Å, intensity 36.4, hkl 1 0 0
- 2θ = 22.20°, 4.004 Å, intensity 26.7, hkl 1 -1 0
- 2θ = 22.93°, 3.879 Å, intensity 33.4, hkl 1 0 -1
- 2θ = 23.70°, 3.754 Å, intensity 31.1, hkl 1 -1 1
- 2θ = 25.08°, 3.550 Å, intensity 42.5, hkl 0 0 2
- 2θ = 27.23°, 3.275 Å, intensity 19.4, hkl -1 1 1
- 2θ = 28.86°, 3.093 Å, intensity 33.7, hkl 0 1 1
- 2θ = 36.49°, 2.462 Å, intensity 29.4, hkl 0 1 -3
- 2θ = 38.66°, 2.329 Å, intensity 31.1, hkl 2 -1 0

=====

Copy entry 2 word for word.
Starting from DFT lattice parameters and positions (GGA-PBE), the PXRD pattern of LaO3 was computed for a wavelength of 1.5418 Å.

Atomic structure:
```
data_LaO3
_chemical_formula_sum 'La2 O6'
_symmetry_space_group_name_H-M 'P 1'
_symmetry_Int_Tables_number 1
_cell_length_a 4.6613
_cell_length_b 4.8800
_cell_length_c 7.5972
_cell_angle_alpha 107.76
_cell_angle_beta 91.51
_cell_angle_gamma 116.69
loop_
_symmetry_equiv_pos_as_xyz
'x,y,z'
loop_
_atom_site_label
_atom_site_fract_x
_atom_site_fract_y
_atom_site_fract_z
_atom_site_occupancy
La1 0.0000 0.0000 0.0000 1
La2 0.2774 0.5620 0.5278 1
O1 0.0255 0.0474 0.3066 1
O2 0.2338 0.5139 0.2207 1
O3 0.3943 0.7827 0.9176 1
O4 0.5333 0.0810 0.8731 1
O5 0.7442 0.4797 0.6539 1
O6 0.8831 0.7783 0.6098 1
```

Principal peaks in the range 2θ = 10–80°, by angle:
- 2θ = 20.93°, 4.245 Å, intensity 100.0, hkl 0 1 -1
- 2θ = 21.75°, 4.085 Å, intensity 36.4, hkl 1 0 0
- 2θ = 22.20°, 4.004 Å, intensity 26.7, hkl 1 -1 0
- 2θ = 22.93°, 3.879 Å, intensity 33.4, hkl 1 0 -1
- 2θ = 23.70°, 3.754 Å, intensity 31.1, hkl 1 -1 1
- 2θ = 25.08°, 3.550 Å, intensity 42.5, hkl 0 0 2
- 2θ = 27.23°, 3.275 Å, intensity 19.4, hkl -1 1 1
- 2θ = 28.86°, 3.093 Å, intensity 33.7, hkl 0 1 1
- 2θ = 36.49°, 2.462 Å, intensity 29.4, hkl 0 1 -3
- 2θ = 38.66°, 2.329 Å, intensity 31.1, hkl 2 -1 0